Entry 1:
The following is a calculated powder diffraction line list of TbYS2F2. It was derived from the GGA-PBE geometry in OQMD, using Cu Kα.

Top 10 peaks for 2θ = 15–90°, sorted by position:
2theta	intensity	(hkl)
26.19	34	0 0 2
27.10	100	1 0 1
33.72	57	1 1 0
35.58	28	1 0 2
43.18	65	1 1 2
46.77	40	1 0 3
48.43	33	2 0 0
55.88	17	2 0 2
56.37	27	2 1 1
69.60	24	2 1 3

Structural model:
```
data_TbYS2F2
_chemical_formula_sum 'Tb1 Y1 S2 F2'
_cell_length_a 3.7593
_cell_length_b 3.7593
_cell_length_c 6.8062
_cell_angle_alpha 90.00
_cell_angle_beta 90.00
_cell_angle_gamma 90.00
_space_group_name_H-M_alt 'P 4 m m'
_space_group_IT_number 99
loop_
_space_group_symop_operation_xyz
'x,y,z'
'-y,x,z'
'-x,-y,z'
'y,-x,z'
'-x,y,z'
'y,x,z'
'x,-y,z'
'-y,-x,z'
loop_
_atom_site_label
_atom_site_type_symbol
_atom_site_fract_x
_atom_site_fract_y
_atom_site_fract_z
Tb1 Tb 0.0000 0.0000 0.0000
Y1 Y 0.5000 0.5000 0.4572
S1 S 0.0000 0.0000 0.5851
S2 S 0.5000 0.5000 0.8714
F1 F 0.0000 0.5000 0.2284
```

Entry 2:
The following is a calculated powder diffraction line list of GaCuW4C2. It was derived from the GGA-PBE geometry in OQMD, using Cu Kα.

Top 10 peaks for 2θ = 15–90°, sorted by position:
2theta	intensity	(hkl)
27.21	7	0 0 4
33.78	24	1 0 0
34.49	12	1 0 1
39.74	100	1 0 3
41.32	18	0 0 6
54.40	14	1 0 6
60.45	26	1 1 0
74.28	15	1 0 9
74.79	16	2 0 3
75.85	19	1 1 6

Structural model:
```
data_GaCuW4C2
_chemical_formula_sum 'Ga1 Cu1 W4 C2'
_cell_length_a 3.0637
_cell_length_b 3.0637
_cell_length_c 13.1097
_cell_angle_alpha 90.00
_cell_angle_beta 90.00
_cell_angle_gamma 120.00
_space_group_name_H-M_alt 'P -6 m 2'
_space_group_IT_number 187
_space_group_name_Hall 'P -6 2'
loop_
_atom_site_label
_atom_site_type_symbol
_atom_site_fract_x
_atom_site_fract_y
_atom_site_fract_z
Ga1 Ga 0.0000 0.0000 0.0000
Cu1 Cu 0.3333 0.6667 0.5000
W1 W 0.0000 0.0000 0.3409
W2 W 0.3333 0.6667 0.1623
C1 C 0.6667 0.3333 0.2523
```

Entry 3:
The following is a calculated powder diffraction line list of FePdPb2. It was derived from the GGA-PBE geometry in OQMD, using Cu Kα.

Top 10 peaks for 2θ = 15–90°, sorted by position:
2theta	intensity	(hkl)
21.92	20	1 1 1
36.18	100	2 2 0
42.71	12	3 1 1
52.10	18	4 0 0
57.18	5	3 3 1
65.07	36	4 2 2
69.57	4	5 1 1
76.79	11	4 4 0
81.01	4	5 3 1
87.95	17	6 2 0

Structural model:
```
data_FePdPb2
_chemical_formula_sum 'Fe4 Pd4 Pb8'
_cell_length_a 7.0220
_cell_length_b 7.0220
_cell_length_c 7.0220
_cell_angle_alpha 90.00
_cell_angle_beta 90.00
_cell_angle_gamma 90.00
_space_group_name_H-M_alt 'F -4 3 m'
_space_group_IT_number 216
_space_group_name_Hall 'F -4 2 3'
loop_
_atom_site_label
_atom_site_type_symbol
_atom_site_fract_x
_atom_site_fract_y
_atom_site_fract_z
Fe1 Fe 0.0000 0.0000 0.0000
Pd1 Pd 0.2500 0.2500 0.7500
Pb1 Pb 0.0000 0.0000 0.5000
Pb2 Pb 0.2500 0.2500 0.2500
```

Entry 4:
The following is a calculated powder diffraction line list of HfZr2Pd4N4. It was derived from the GGA-PBE geometry in OQMD, using Cu Kα.

Top 10 peaks for 2θ = 15–90°, sorted by position:
2theta	intensity	(hkl)
29.97	33	0 1 1
31.96	83	1 1 -1
33.96	94	2 0 1
34.67	100	1 0 -3
36.45	81	0 1 2
39.77	91	2 1 -1
41.65	86	1 1 2
44.18	57	3 0 -2
56.79	33	0 2 0
68.26	40	1 2 -3

Structural model:
```
data_HfZr2Pd4N4
_chemical_formula_sum 'Hf1 Zr2 Pd4 N4'
_cell_length_a 6.4138
_cell_length_b 3.2424
_cell_length_c 7.8543
_cell_angle_alpha 90.00
_cell_angle_beta 104.97
_cell_angle_gamma 90.00
_space_group_name_H-M_alt 'P 1 m 1'
_space_group_IT_number 6
loop_
_space_group_symop_operation_xyz
'x,y,z'
'x,-y,z'
loop_
_atom_site_label
_atom_site_type_symbol
_atom_site_fract_x
_atom_site_fract_y
_atom_site_fract_z
Hf1 Hf 0.0000 0.0000 0.0000
Zr1 Zr 0.3519 0.5000 0.4322
Zr2 Zr 0.5690 0.5000 0.8459
Pd1 Pd 0.1195 0.5000 0.6900
Pd2 Pd 0.4604 0.0000 0.1629
Pd3 Pd 0.7315 0.0000 0.5425
Pd4 Pd 0.8803 0.5000 0.3064
N1 N 0.1589 0.5000 0.1777
N2 N 0.4108 0.0000 0.6241
N3 N 0.6856 0.0000 0.0204
N4 N 0.8819 0.5000 0.8203
```

Entry 5:
The following is a calculated powder diffraction line list of Ag2SO. It was derived from the GGA-PBE geometry in OQMD, using Cu Kα.

Top 10 peaks for 2θ = 15–90°, sorted by position:
2theta	intensity	(hkl)
28.43	31	0 0 4
30.34	29	1 0 1
32.82	100	1 0 2
36.61	39	1 0 3
46.99	19	1 0 5
52.29	35	1 1 0
53.19	29	1 0 6
60.59	21	1 1 4
63.12	14	2 0 2
82.58	15	1 1 8

Structural model:
```
data_Ag2SO
_chemical_formula_sum 'Ag4 S2 O2'
_cell_length_a 3.4990
_cell_length_b 3.4990
_cell_length_c 12.5571
_cell_angle_alpha 90.00
_cell_angle_beta 90.00
_cell_angle_gamma 120.00
_space_group_name_H-M_alt 'P 63 m c'
_space_group_IT_number 186
_space_group_name_Hall 'P 6c -2c'
loop_
_atom_site_label
_atom_site_type_symbol
_atom_site_fract_x
_atom_site_fract_y
_atom_site_fract_z
Ag1 Ag 0.0000 0.0000 0.0000
Ag2 Ag 0.3333 0.6667 0.2541
S1 S 0.3333 0.6667 0.6313
O1 O 0.0000 0.0000 0.3319
```

Entry 6:
The following is a calculated powder diffraction line list of Sr2TcAs. It was derived from the GGA-PBE geometry in OQMD, using Cu Kα.

Top 7 peaks for 2θ = 15–90°, sorted by position:
2theta	intensity	(hkl)
21.33	1	1 1 1
24.68	1	2 0 0
35.19	100	2 2 0
50.61	17	4 0 0
63.14	36	4 2 2
74.39	11	4 4 0
85.05	16	6 2 0

Structural model:
```
data_Sr2TcAs
_chemical_formula_sum 'Sr8 Tc4 As4'
_cell_length_a 7.2138
_cell_length_b 7.2138
_cell_length_c 7.2138
_cell_angle_alpha 90.00
_cell_angle_beta 90.00
_cell_angle_gamma 90.00
_space_group_name_H-M_alt 'F -4 3 m'
_space_group_IT_number 216
_space_group_name_Hall 'F -4 2 3'
loop_
_atom_site_label
_atom_site_type_symbol
_atom_site_fract_x
_atom_site_fract_y
_atom_site_fract_z
Sr1 Sr 0.0000 0.0000 0.0000
Sr2 Sr 0.2500 0.2500 0.2500
Tc1 Tc 0.0000 0.0000 0.5000
As1 As 0.2500 0.2500 0.7500
```

Entry 7:
The following is a calculated powder diffraction line list of Sm3Mg3GaPt2. It was derived from the GGA-PBE geometry in OQMD, using Cu Kα.

Top 10 peaks for 2θ = 15–90°, sorted by position:
2theta	intensity	(hkl)
23.76	36	1 1 0
32.07	100	1 1 1
35.00	87	2 0 1
36.66	23	2 1 0
41.78	29	3 0 0
42.75	22	2 1 1
43.23	22	0 0 2
50.75	18	3 1 0
61.69	18	3 0 2
66.72	19	3 2 1

Structural model:
```
data_Sm3Mg3GaPt2
_chemical_formula_sum 'Sm3 Mg3 Ga1 Pt2'
_cell_length_a 7.4889
_cell_length_b 7.4889
_cell_length_c 4.1855
_cell_angle_alpha 90.00
_cell_angle_beta 90.00
_cell_angle_gamma 120.00
_space_group_name_H-M_alt 'P -6 2 m'
_space_group_IT_number 189
_space_group_name_Hall 'P -6 -2'
loop_
_atom_site_label
_atom_site_type_symbol
_atom_site_fract_x
_atom_site_fract_y
_atom_site_fract_z
Sm1 Sm 0.0000 0.5816 0.0000
Mg1 Mg 0.0000 0.2495 0.5000
Ga1 Ga 0.0000 0.0000 0.0000
Pt1 Pt 0.3333 0.6667 0.5000
```

Entry 8:
The following is a calculated powder diffraction line list of NaCdSbS3. It was derived from the GGA-PBE geometry in OQMD, using Cu Kα.

Top 10 peaks for 2θ = 15–90°, sorted by position:
2theta	intensity	(hkl)
17.27	38	1 1 -2
26.97	54	0 2 3
27.12	16	2 0 -4
30.93	100	2 2 -1
31.98	47	0 0 6
44.31	32	4 0 -2
44.95	30	2 2 5
45.22	31	2 2 -7
52.57	16	2 4 2
52.74	16	2 4 -4

Structural model:
```
data_NaCdSbS3
_chemical_formula_sum 'Na8 Cd8 Sb8 S24'
_cell_length_a 8.1743
_cell_length_b 8.1810
_cell_length_c 17.2483
_cell_angle_alpha 90.00
_cell_angle_beta 103.25
_cell_angle_gamma 90.00
_space_group_name_H-M_alt 'C 1 2/c 1'
_space_group_IT_number 15
loop_
_space_group_symop_operation_xyz
'x,y,z'
'-x,-y,-z'
'-x,y,-z+1/2'
'x,-y,z+1/2'
'x+1/2,y+1/2,z'
'-x+1/2,-y+1/2,-z'
'-x+1/2,y+1/2,-z+1/2'
'x+1/2,-y+1/2,z+1/2'
loop_
_atom_site_label
_atom_site_type_symbol
_atom_site_fract_x
_atom_site_fract_y
_atom_site_fract_z
Na1 Na 0.1616 0.1509 0.0785
Cd1 Cd 0.0000 0.1175 0.7500
Cd2 Cd 0.0000 0.3874 0.2500
Sb1 Sb 0.1767 0.3722 0.5929
S1 S 0.0537 0.4324 0.4033
S2 S 0.0962 0.0758 0.9044
S3 S 0.2478 0.3330 0.7411
```

Entry 9:
The following is a calculated powder diffraction line list of Pr2NiPb6. It was derived from the GGA-PBE geometry in OQMD, using Cu Kα.

Top 10 peaks for 2θ = 15–90°, sorted by position:
2theta	intensity	(hkl)
27.46	24	1 1 1
29.47	62	1 3 1
30.03	40	0 8 0
33.17	100	1 5 1
38.25	33	0 0 2
39.41	36	2 0 0
49.38	21	0 8 2
50.33	20	2 8 0
56.09	26	2 0 2
64.94	19	2 8 2

Structural model:
```
data_Pr2NiPb6
_chemical_formula_sum 'Pr4 Ni2 Pb12'
_cell_length_a 4.5718
_cell_length_b 23.8092
_cell_length_c 4.7056
_cell_angle_alpha 90.00
_cell_angle_beta 90.00
_cell_angle_gamma 90.00
_space_group_name_H-M_alt 'C m m m'
_space_group_IT_number 65
_space_group_name_Hall '-C 2 2'
loop_
_atom_site_label
_atom_site_type_symbol
_atom_site_fract_x
_atom_site_fract_y
_atom_site_fract_z
Pr1 Pr 0.0000 0.1786 0.0000
Ni1 Ni 0.0000 0.5000 0.5000
Pb1 Pb 0.0000 0.0683 0.5000
Pb2 Pb 0.0000 0.2961 0.5000
Pb3 Pb 0.0000 0.4326 0.0000
```

Entry 10:
The following is a calculated powder diffraction line list of La2Cd4PtAu. It was derived from the GGA-PBE geometry in OQMD, using Cu Kα.

Top 10 peaks for 2θ = 15–90°, sorted by position:
2theta	intensity	(hkl)
17.30	23	0 0 2
30.52	94	2 1 1
34.87	100	1 1 3
36.63	30	1 0 4
38.83	52	3 1 1
39.56	27	2 1 3
40.99	44	0 2 0
41.14	28	2 0 4
46.48	23	3 1 3
64.86	29	5 1 3

Structural model:
```
data_La2Cd4PtAu
_chemical_formula_sum 'La4 Cd8 Pt2 Au2'
_cell_length_a 8.4900
_cell_length_b 4.4040
_cell_length_c 10.2514
_cell_angle_alpha 90.00
_cell_angle_beta 90.00
_cell_angle_gamma 90.00
_space_group_name_H-M_alt 'A m m 2'
_space_group_IT_number 38
loop_
_space_group_symop_operation_xyz
'x,y,z'
'-x,-y,z'
'-x,y,z'
'x,-y,z'
'x,y+1/2,z+1/2'
'-x,-y+1/2,z+1/2'
'-x,y+1/2,z+1/2'
'x,-y+1/2,z+1/2'
loop_
_atom_site_label
_atom_site_type_symbol
_atom_site_fract_x
_atom_site_fract_y
_atom_site_fract_z
La1 La 0.0000 0.0000 0.0000
La2 La 0.5000 0.0000 0.1331
Cd1 Cd 0.1954 0.0000 0.7077
Cd2 Cd 0.2958 0.0000 0.4261
Pt1 Pt 0.0000 0.0000 0.2902
Au1 Au 0.5000 0.0000 0.8405
```

Entry 11:
The following is a calculated powder diffraction line list of Hf2FeIr. It was derived from the GGA-PBE geometry in OQMD, using Cu Kα.

Top 10 peaks for 2θ = 15–90°, sorted by position:
2theta	intensity	(hkl)
19.65	13	1 1 0
33.83	7	1 1 1
39.43	100	2 0 1
39.92	48	2 2 0
56.23	9	0 0 2
57.72	16	4 0 0
71.17	18	2 2 2
72.16	34	4 2 1
84.85	11	4 0 2
86.10	5	4 4 0

Structural model:
```
data_Hf2FeIr
_chemical_formula_sum 'Hf4 Fe2 Ir2'
_cell_length_a 6.3883
_cell_length_b 6.3883
_cell_length_c 3.2717
_cell_angle_alpha 90.00
_cell_angle_beta 90.00
_cell_angle_gamma 90.00
_space_group_name_H-M_alt 'P 4/m b m'
_space_group_IT_number 127
_space_group_name_Hall '-P 4 2ab'
loop_
_atom_site_label
_atom_site_type_symbol
_atom_site_fract_x
_atom_site_fract_y
_atom_site_fract_z
Hf1 Hf 0.2487 0.2513 0.0000
Fe1 Fe 0.0000 0.5000 0.5000
Ir1 Ir 0.0000 0.0000 0.5000
```

Entry 12:
The following is a calculated powder diffraction line list of InCuTcTeSe2. It was derived from the GGA-PBE geometry in OQMD, using Cu Kα.

Top 10 peaks for 2θ = 15–90°, sorted by position:
2theta	intensity	(hkl)
29.42	13	0 2 3
32.34	94	1 3 1
36.05	100	0 0 4
40.21	25	0 6 2
41.51	20	1 3 3
43.52	26	1 5 2
51.95	31	2 0 0
56.16	30	1 3 5
64.91	20	2 0 4
67.69	16	0 6 6

Structural model:
```
data_InCuTcTeSe2
_chemical_formula_sum 'In4 Cu4 Tc4 Te4 Se8'
_cell_length_a 3.5180
_cell_length_b 15.0734
_cell_length_c 9.9529
_cell_angle_alpha 90.00
_cell_angle_beta 90.00
_cell_angle_gamma 90.00
_space_group_name_H-M_alt 'C m c m'
_space_group_IT_number 63
_space_group_name_Hall '-C 2c 2'
loop_
_atom_site_label
_atom_site_type_symbol
_atom_site_fract_x
_atom_site_fract_y
_atom_site_fract_z
In1 In 0.0000 0.2302 0.2500
Cu1 Cu 0.0000 0.4531 0.7500
Tc1 Tc 0.0000 0.0000 0.0000
Te1 Te 0.0000 0.0810 0.7500
Se1 Se 0.0000 0.3767 0.5411
```

Copy entry 4 word for word.
The following is a calculated powder diffraction line list of HfZr2Pd4N4. It was derived from the GGA-PBE geometry in OQMD, using Cu Kα.

Top 10 peaks for 2θ = 15–90°, sorted by position:
2theta	intensity	(hkl)
29.97	33	0 1 1
31.96	83	1 1 -1
33.96	94	2 0 1
34.67	100	1 0 -3
36.45	81	0 1 2
39.77	91	2 1 -1
41.65	86	1 1 2
44.18	57	3 0 -2
56.79	33	0 2 0
68.26	40	1 2 -3

Structural model:
```
data_HfZr2Pd4N4
_chemical_formula_sum 'Hf1 Zr2 Pd4 N4'
_cell_length_a 6.4138
_cell_length_b 3.2424
_cell_length_c 7.8543
_cell_angle_alpha 90.00
_cell_angle_beta 104.97
_cell_angle_gamma 90.00
_space_group_name_H-M_alt 'P 1 m 1'
_space_group_IT_number 6
loop_
_space_group_symop_operation_xyz
'x,y,z'
'x,-y,z'
loop_
_atom_site_label
_atom_site_type_symbol
_atom_site_fract_x
_atom_site_fract_y
_atom_site_fract_z
Hf1 Hf 0.0000 0.0000 0.0000
Zr1 Zr 0.3519 0.5000 0.4322
Zr2 Zr 0.5690 0.5000 0.8459
Pd1 Pd 0.1195 0.5000 0.6900
Pd2 Pd 0.4604 0.0000 0.1629
Pd3 Pd 0.7315 0.0000 0.5425
Pd4 Pd 0.8803 0.5000 0.3064
N1 N 0.1589 0.5000 0.1777
N2 N 0.4108 0.0000 0.6241
N3 N 0.6856 0.0000 0.0204
N4 N 0.8819 0.5000 0.8203
```